# 1
Theoretical PXRD pattern
Compound: LiH2Pt3
Radiation: Cu Kα, 1.54184 Å
Structure: a structure optimized by DFT (PBE)
Neutral-atom scattering factors, no anomalous dispersion.

Structure:
a = 4.9951 Å, b = 4.9951 Å, c = 2.8473 Å
α = 90.00°, β = 90.00°, γ = 111.44°
Fractional coordinates of all 6 atoms:
1 Li 0.0000 0.0000 0.0000
2 H 0.2638 0.7362 0.0000
3 H 0.7362 0.2638 0.0000
4 Pt 0.0000 0.5000 0.5000
5 Pt 0.5000 0.0000 0.5000
6 Pt 0.5000 0.5000 0.0000

Largest 12 diffraction maxima, low angle first, 10° ≤ 2θ ≤ 90°:
19.09 deg, intensity 599; 21.53 deg, intensity 235; 37.02 deg, intensity 231; 38.41 deg, intensity 1000; 38.73 deg, intensity 977; 43.87 deg, intensity 352; 45.31 deg, intensity 642; 64.90 deg, intensity 444; 76.97 deg, intensity 151; 77.18 deg, intensity 135; 78.84 deg, intensity 256; 79.46 deg, intensity 251

***

# 2
Theoretical PXRD pattern
Compound: BaTmAgTe2S
Radiation: Cu Kα, 1.54184 Å
Structure: a structure optimized by DFT (PBE)
Neutral-atom scattering factors, no anomalous dispersion.

Structure:
a = 7.7822 Å, b = 7.7822 Å, c = 10.7423 Å
α = 90.00°, β = 90.00°, γ = 147.26°
Fractional coordinates of all 12 atoms:
1 Ba 0.2304 0.7696 0.7500
2 Ba 0.7696 0.2304 0.2500
3 Tm 0.5000 0.5000 0.0000
4 Tm 0.5000 0.5000 0.5000
5 Ag 0.0220 0.9780 0.2500
6 Ag 0.9780 0.0220 0.7500
7 Te 0.1404 0.8596 0.0502
8 Te 0.1404 0.8596 0.4498
9 Te 0.8596 0.1404 0.5502
10 Te 0.8596 0.1404 0.9498
11 S 0.4315 0.5685 0.2500
12 S 0.5685 0.4315 0.7500

Largest 12 diffraction maxima, low angle first, 10° ≤ 2θ ≤ 90°:
11.85 deg, intensity 256; 26.91 deg, intensity 190; 27.10 deg, intensity 575; 27.63 deg, intensity 241; 28.36 deg, intensity 504; 29.13 deg, intensity 211; 31.89 deg, intensity 1000; 32.84 deg, intensity 398; 33.36 deg, intensity 395; 40.20 deg, intensity 577; 41.16 deg, intensity 388; 53.98 deg, intensity 196

***

# 3
Theoretical PXRD pattern
Compound: SmHoZr2Bi2
Radiation: Cu Kα, 1.54184 Å
Structure: a structure optimized by DFT (PBE)
Neutral-atom scattering factors, no anomalous dispersion.

Structure:
a = 9.0441 Å, b = 9.0441 Å, c = 9.0441 Å
α = 152.22°, β = 152.22°, γ = 39.69°
Fractional coordinates of all 6 atoms:
1 Sm 0.0000 0.0000 0.0000
2 Ho 0.3528 0.3528 0.0000
3 Zr 0.1780 0.6780 0.5000
4 Zr 0.6780 0.1780 0.5000
5 Bi 0.5442 0.5442 0.0000
6 Bi 0.8112 0.8112 0.0000

Largest 12 diffraction maxima, low angle first, 10° ≤ 2θ ≤ 90°:
29.08 deg, intensity 552; 30.96 deg, intensity 574; 31.55 deg, intensity 288; 33.46 deg, intensity 505; 36.08 deg, intensity 1000; 41.59 deg, intensity 613; 53.13 deg, intensity 265; 54.40 deg, intensity 258; 60.28 deg, intensity 206; 69.34 deg, intensity 211; 72.31 deg, intensity 268; 79.17 deg, intensity 227

***

# 4
Theoretical PXRD pattern
Compound: HfBeAl2
Radiation: Cu Kα, 1.54184 Å
Structure: a structure optimized by DFT (PBE)
Neutral-atom scattering factors, no anomalous dispersion.

Structure:
a = 4.4656 Å, b = 4.4656 Å, c = 4.4656 Å
α = 60.00°, β = 60.00°, γ = 60.00°
Fractional coordinates of all 4 atoms:
1 Hf 0.0000 0.0000 0.0000
2 Be 0.7500 0.7500 0.7500
3 Al 0.2500 0.2500 0.2500
4 Al 0.5000 0.5000 0.5000

Largest 11 diffraction maxima, low angle first, 10° ≤ 2θ ≤ 90°:
24.41 deg, intensity 995; 28.26 deg, intensity 667; 40.40 deg, intensity 1000; 47.76 deg, intensity 511; 50.03 deg, intensity 190; 58.46 deg, intensity 169; 64.29 deg, intensity 212; 66.17 deg, intensity 247; 73.46 deg, intensity 346; 78.74 deg, intensity 160; 87.34 deg, intensity 113

***

# 5
Theoretical PXRD pattern
Compound: KTaBr6
Radiation: Cu Kα, 1.54184 Å
Structure: a structure optimized by DFT (PBE)
Neutral-atom scattering factors, no anomalous dispersion.

Structure:
a = 6.8985 Å, b = 6.8985 Å, c = 8.0994 Å
α = 109.45°, β = 109.45°, γ = 99.27°
Fractional coordinates of all 8 atoms:
1 K 0.0000 0.0000 0.0000
2 Ta 0.5000 0.5000 0.5000
3 Br 0.2100 0.5518 0.2416
4 Br 0.2156 0.2156 0.4970
5 Br 0.4482 0.7900 0.7584
6 Br 0.5518 0.2100 0.2416
7 Br 0.7844 0.7844 0.5030
8 Br 0.7900 0.4482 0.7584

Largest 12 diffraction maxima, low angle first, 10° ≤ 2θ ≤ 90°:
12.74 deg, intensity 649; 14.30 deg, intensity 579; 14.68 deg, intensity 1000; 19.89 deg, intensity 291; 21.20 deg, intensity 496; 30.86 deg, intensity 637; 31.64 deg, intensity 371; 33.35 deg, intensity 376; 33.87 deg, intensity 216; 43.14 deg, intensity 331; 45.09 deg, intensity 246; 52.69 deg, intensity 263

***

# 6
Theoretical PXRD pattern
Compound: PaPN3
Radiation: Cu Kα, 1.54184 Å
Structure: a structure optimized by DFT (PBE)
Neutral-atom scattering factors, no anomalous dispersion.

Structure:
a = 3.8703 Å, b = 5.3149 Å, c = 6.0148 Å
α = 90.00°, β = 103.32°, γ = 90.00°
Fractional coordinates of all 10 atoms:
1 Pa 0.1720 0.2500 0.3010
2 Pa 0.8280 0.7500 0.6990
3 P 0.4244 0.2500 0.8285
4 P 0.5756 0.7500 0.1715
5 N 0.1465 0.7500 0.0664
6 N 0.3078 0.0046 0.6621
7 N 0.3078 0.4954 0.6621
8 N 0.6922 0.5046 0.3379
9 N 0.6922 0.9954 0.3379
10 N 0.8535 0.2500 0.9336

Largest 12 diffraction maxima, low angle first, 10° ≤ 2θ ≤ 90°:
22.60 deg, intensity 1000; 29.06 deg, intensity 704; 30.20 deg, intensity 554; 30.55 deg, intensity 306; 31.06 deg, intensity 266; 33.73 deg, intensity 344; 35.00 deg, intensity 305; 46.51 deg, intensity 370; 46.71 deg, intensity 235; 48.79 deg, intensity 192; 50.47 deg, intensity 193; 57.46 deg, intensity 226